Diffraction record for Au3Cl. The powder diffraction line list is simulated, not measured: it uses a structure optimized by DFT (PBE) and Cu Kα (weighted mean of Kα1 and Kα2).
Kinematic intensities with the Lorentz-polarization factor, no thermal factor.

Cell and atoms:
a = 4.2609 Å, b = 4.2609 Å, c = 8.3881 Å
α = 90.00°, β = 90.00°, γ = 90.00°
Atoms (fractional coordinates):
Au 0.0000 0.0000 0.0000
Au 0.0000 0.5000 0.2500
Au 0.0000 0.5000 0.7500
Au 0.5000 0.0000 0.2500
Au 0.5000 0.0000 0.7500
Au 0.5000 0.5000 0.5000
Cl 0.0000 0.0000 0.5000
Cl 0.5000 0.5000 0.0000

Principal peaks in the range 10° ≤ 2θ ≤ 90°, low angle first:
2θ (°)	I (rel.)
21.18	6.2
23.42	19.9
36.73	100.0
42.43	33.5
43.14	16.0
61.56	11.2
62.11	21.8
73.88	26.6
74.88	12.8
78.11	11.5